(1)
This entry pairs a crystal structure of K3Cr with its calculated X-ray diffraction stick pattern. Radiation: a wavelength of 1.5418 Å. Structure: a crystal structure in the Materials Project, relaxed with GGA-PBE.
Peak positions follow from Bragg's law for the DFT cell and can differ from measured ones.

The 12 most intense peaks (10° ≤ 2θ ≤ 90°), by angle:
2θ = 16.54°, I 11
2θ = 19.12°, I 6
2θ = 27.17°, I 1000
2θ = 31.97°, I 7
2θ = 38.80°, I 177
2θ = 48.01°, I 357
2θ = 56.04°, I 106
2θ = 63.37°, I 140
2θ = 70.25°, I 33
2θ = 76.84°, I 151
2θ = 83.27°, I 15
2θ = 89.60°, I 76

Crystal structure
Cell lengths 9.283, 9.283, 9.283 Å; angles 90.00, 90.00, 90.00 degrees
Fractional positions:
K  0.000  0.000  0.000
K  0.000  0.500  0.500
K  0.250  0.250  0.250
K  0.250  0.250  0.750
K  0.250  0.750  0.250
K  0.250  0.750  0.750
K  0.500  0.000  0.500
K  0.500  0.500  0.000
K  0.750  0.250  0.250
K  0.750  0.250  0.750
K  0.750  0.750  0.250
K  0.750  0.750  0.750
Cr  0.000  0.000  0.500
Cr  0.000  0.500  0.000
Cr  0.500  0.000  0.000
Cr  0.500  0.500  0.500

***

(2)
This entry pairs a crystal structure of CsCaO3 with its calculated X-ray diffraction stick pattern. Radiation: a wavelength of 1.5418 Å. Structure: a crystal structure in the Materials Project, relaxed with GGA-PBE.
Peak positions follow from Bragg's law for the DFT cell and can differ from measured ones.

The 12 most intense peaks (10° ≤ 2θ ≤ 90°), by angle:
2θ = 18.94°, I 219
2θ = 26.91°, I 1000
2θ = 33.12°, I 305
2θ = 38.43°, I 386
2θ = 43.18°, I 119
2θ = 47.54°, I 414
2θ = 55.48°, I 242
2θ = 62.71°, I 182
2θ = 66.15°, I 106
2θ = 69.51°, I 78
2θ = 76.01°, I 211
2θ = 88.56°, I 110

Crystal structure
Cell lengths 4.685, 4.685, 4.685 Å; angles 90.00, 90.00, 90.00 degrees
Fractional positions:
Cs  0.000  0.000  0.000
Ca  0.500  0.500  0.500
O  0.000  0.500  0.500
O  0.500  0.000  0.500
O  0.500  0.500  0.000

***

(3)
This entry pairs a crystal structure of Sc3V with its calculated X-ray diffraction stick pattern. Radiation: a wavelength of 1.5418 Å. Structure: a crystal structure in the Materials Project, relaxed with GGA-PBE.
Peak positions follow from Bragg's law for the DFT cell and can differ from measured ones.

The 12 most intense peaks (10° ≤ 2θ ≤ 90°), by angle:
2θ = 32.65°, I 251
2θ = 36.50°, I 243
2θ = 37.54°, I 1000
2θ = 49.77°, I 137
2θ = 58.26°, I 162
2θ = 66.38°, I 159
2θ = 68.41°, I 24
2θ = 70.74°, I 170
2θ = 71.40°, I 123
2θ = 77.56°, I 22
2θ = 80.11°, I 29
2θ = 86.71°, I 24

Crystal structure
Cell lengths 6.334, 6.334, 4.923 Å; angles 90.00, 90.00, 120.00 degrees
Fractional positions:
Sc  0.171  0.342  0.250
Sc  0.171  0.829  0.250
Sc  0.342  0.171  0.750
Sc  0.658  0.829  0.250
Sc  0.829  0.171  0.750
Sc  0.829  0.658  0.750
V  0.333  0.667  0.750
V  0.667  0.333  0.250

***

(4)
This entry pairs a crystal structure of Dy2CdS4 with its calculated X-ray diffraction stick pattern. Radiation: a wavelength of 1.5418 Å. Structure: a crystal structure in the Materials Project, relaxed with GGA-PBE.
Peak positions follow from Bragg's law for the DFT cell and can differ from measured ones.

The 12 most intense peaks (10° ≤ 2θ ≤ 90°), by angle:
2θ = 13.57°, I 210
2θ = 22.25°, I 179
2θ = 26.15°, I 1000
2θ = 27.33°, I 176
2θ = 31.67°, I 305
2θ = 41.52°, I 431
2θ = 45.39°, I 615
2θ = 53.14°, I 142
2θ = 63.19°, I 236
2θ = 72.41°, I 136
2θ = 83.87°, I 200
2θ = 89.75°, I 115

Crystal structure
Cell lengths 7.992, 7.992, 7.992 Å; angles 60.00, 60.00, 60.00 degrees
Fractional positions:
Dy  0.000  0.000  0.000
Dy  0.000  0.000  0.500
Dy  0.000  0.500  0.000
Dy  0.500  0.000  0.000
Cd  0.375  0.375  0.375
Cd  0.625  0.625  0.625
S  0.228  0.757  0.757
S  0.243  0.243  0.243
S  0.243  0.243  0.772
S  0.243  0.772  0.243
S  0.757  0.228  0.757
S  0.757  0.757  0.228
S  0.757  0.757  0.757
S  0.772  0.243  0.243

***

(5)
This entry pairs a crystal structure of KSrTbBiO6 with its calculated X-ray diffraction stick pattern. Radiation: a wavelength of 1.5418 Å. Structure: a crystal structure in the Materials Project, relaxed with GGA-PBE.
Peak positions follow from Bragg's law for the DFT cell and can differ from measured ones.

The 12 most intense peaks (10° ≤ 2θ ≤ 90°), by angle:
2θ = 17.68°, I 49
2θ = 20.44°, I 400
2θ = 29.07°, I 1000
2θ = 41.58°, I 313
2θ = 46.76°, I 189
2θ = 51.53°, I 418
2θ = 60.26°, I 198
2θ = 64.33°, I 92
2θ = 68.27°, I 184
2θ = 75.87°, I 66
2θ = 79.56°, I 41
2θ = 83.21°, I 221

Crystal structure
Cell lengths 6.144, 6.144, 6.144 Å; angles 60.00, 60.00, 60.00 degrees
Fractional positions:
K  0.000  0.000  0.000
Sr  0.500  0.500  0.500
Tb  0.750  0.750  0.750
Bi  0.250  0.250  0.250
O  0.007  0.007  0.493
O  0.007  0.493  0.007
O  0.007  0.493  0.493
O  0.493  0.007  0.007
O  0.493  0.007  0.493
O  0.493  0.493  0.007

***

(6)
This entry pairs a crystal structure of HfMg6SnO8 with its calculated X-ray diffraction stick pattern. Radiation: a wavelength of 1.5418 Å. Structure: a crystal structure in the Materials Project, relaxed with GGA-PBE.
Peak positions follow from Bragg's law for the DFT cell and can differ from measured ones.

The 12 most intense peaks (10° ≤ 2θ ≤ 90°), by angle:
2θ = 17.20°, I 772
2θ = 20.37°, I 928
2θ = 26.78°, I 1000
2θ = 28.97°, I 398
2θ = 33.88°, I 916
2θ = 34.79°, I 585
2θ = 40.65°, I 296
2θ = 41.43°, I 851
2θ = 45.16°, I 272
2θ = 50.02°, I 376
2θ = 55.18°, I 582
2θ = 70.74°, I 264

Crystal structure
Cell lengths 4.359, 4.359, 10.314 Å; angles 90.00, 90.00, 90.00 degrees
Fractional positions:
Hf  0.000  0.000  0.000
Mg  0.000  0.500  0.275
Mg  0.000  0.500  0.725
Mg  0.500  0.000  0.275
Mg  0.500  0.000  0.725
Mg  0.500  0.500  0.000
Mg  0.500  0.500  0.500
Sn  0.000  0.000  0.500
O  0.000  0.000  0.199
O  0.000  0.000  0.801
O  0.000  0.500  0.000
O  0.000  0.500  0.500
O  0.500  0.000  0.000
O  0.500  0.000  0.500
O  0.500  0.500  0.283
O  0.500  0.500  0.717

***

(7)
This entry pairs a crystal structure of TeMoWSeS2 with its calculated X-ray diffraction stick pattern. Radiation: a wavelength of 1.5418 Å. Structure: a crystal structure in the Materials Project, relaxed with GGA-PBE.
Peak positions follow from Bragg's law for the DFT cell and can differ from measured ones.

The 12 most intense peaks (10° ≤ 2θ ≤ 90°), by angle:
2θ = 11.76°, I 1000
2θ = 14.13°, I 277
2θ = 31.28°, I 381
2θ = 31.63°, I 148
2θ = 33.50°, I 137
2θ = 36.77°, I 761
2θ = 39.57°, I 114
2θ = 44.53°, I 398
2θ = 46.36°, I 143
2θ = 55.64°, I 243
2θ = 68.55°, I 120
2θ = 78.81°, I 115

Crystal structure
Cell lengths 3.304, 3.304, 37.614 Å; angles 90.00, 90.00, 120.00 degrees
Fractional positions:
Te  0.000  0.000  0.000
Te  0.000  0.000  0.102
Mo  0.000  0.000  0.239
Mo  0.667  0.333  0.051
W  0.000  0.000  0.614
W  0.667  0.333  0.427
Se  0.667  0.333  0.194
Se  0.667  0.333  0.283
S  0.000  0.000  0.386
S  0.000  0.000  0.467
S  0.667  0.333  0.574
S  0.667  0.333  0.655